[1]
The following is a calculated powder diffraction line list of Ce2In2Ru3. It was derived from a cell relaxed with PBE, using Cu Kα X-rays.
Intensities are scaled so that the largest is 100.

Structural model:
a = 13.0217 Å, b = 4.7352 Å, c = 5.2638 Å
α = 90.00°, β = 106.63°, γ = 90.00°
Space group C2/m (No. 12)
Unique sites:
Ce (0.1441, 0.0000, 0.2702)
In (0.0714, 0.5000, 0.7861)
Ru (0.0000, 0.0000, 0.5000)
Ru (0.2072, 0.0000, 0.8941)

Main lines, in order of rising 2θ (2θ from 10° to 90°):
19.20 deg, d 4.622, rel. 22; 28.14 deg, d 3.171, rel. 55; 28.57 deg, d 3.125, rel. 65; 30.23 deg, d 2.956, rel. 22; 36.96 deg, d 2.432, rel. 100; 38.01 deg, d 2.368, rel. 86; 38.97 deg, d 2.311, rel. 30; 40.87 deg, d 2.208, rel. 93; 41.99 deg, d 2.152, rel. 32; 57.91 deg, d 1.592, rel. 25

[2]
The following is a calculated powder diffraction line list of CeIn2Ru. It was derived from a cell relaxed with PBE, using Cu Kα X-rays.
Intensities are scaled so that the largest is 100.

Structural model:
a = 4.7885 Å, b = 9.9388 Å, c = 7.6387 Å
α = 90.00°, β = 90.00°, γ = 90.00°
Space group Cmcm (No. 63)
Unique sites:
Ce (0.0000, 0.0601, 0.2500)
In (0.0000, 0.3527, 0.0446)
Ru (0.0000, 0.1704, 0.7500)

Main lines, in order of rising 2θ (2θ from 10° to 90°):
31.28 deg, d 2.860, rel. 100; 32.87 deg, d 2.724, rel. 15; 34.97 deg, d 2.566, rel. 20; 37.57 deg, d 2.394, rel. 39; 38.08 deg, d 2.363, rel. 23; 40.68 deg, d 2.218, rel. 29; 41.17 deg, d 2.193, rel. 17; 54.57 deg, d 1.682, rel. 16; 62.35 deg, d 1.489, rel. 23; 63.90 deg, d 1.457, rel. 12